Entry 1:
Starting from a structure optimized by DFT (GGA-PBE), the X-ray powder pattern of MgTa2In was computed for Cu Kα (weighted mean of Kα1 and Kα2).
Lines closer than 0.1° are merged.

Peak list (10 most intense, 2θ = 15–90°, in order of rising 2θ)
| d (Å) | I/Imax |
| --- | --- |
| 4.629 | 22.9 |
| 3.717 | 10.2 |
| 2.870 | 14.2 |
| 2.439 | 100.0 |
| 2.314 | 21.5 |
| 2.029 | 29.2 |
| 1.526 | 23.3 |
| 1.359 | 15.8 |
| 1.237 | 23.2 |
| 1.220 | 11.1 |

a b c (Å): 4.0589 4.0589 9.2576
angles (deg): 90.00 90.00 90.00
Fractional coordinates of all 8 atoms:
Mg1 0.0000 0.0000 0.0000
Mg2 0.5000 0.5000 0.5000
Ta1 0.0000 0.5000 0.2500
Ta2 0.0000 0.5000 0.7500
Ta3 0.5000 0.0000 0.2500
Ta4 0.5000 0.0000 0.7500
In1 0.0000 0.0000 0.5000
In2 0.5000 0.5000 0.0000

***

Entry 2:
Starting from a structure optimized by DFT (GGA-PBE), the X-ray powder pattern of Ce2As2H3 was computed for Cu Kα (weighted mean of Kα1 and Kα2).
Lines closer than 0.1° are merged.

Peak list (10 most intense, 2θ = 15–90°, in order of rising 2θ)
| d (Å) | I/Imax |
| --- | --- |
| 3.609 | 100.0 |
| 3.007 | 29.2 |
| 2.711 | 46.8 |
| 2.690 | 19.6 |
| 2.476 | 59.4 |
| 2.406 | 25.3 |
| 2.257 | 65.1 |
| 2.012 | 40.6 |
| 1.947 | 23.4 |
| 1.581 | 18.3 |

a b c (Å): 10.7618 3.8932 6.0635
angles (deg): 90.00 116.59 90.00
Fractional coordinates of all 14 atoms:
Ce1 0.1578 0.0000 0.2202
Ce2 0.3422 0.5000 0.7798
Ce3 0.6578 0.5000 0.2202
Ce4 0.8422 0.0000 0.7798
As1 0.1085 0.0000 0.6988
As2 0.3915 0.5000 0.3012
As3 0.6085 0.5000 0.6988
As4 0.8915 0.0000 0.3012
H1 0.0000 0.5000 0.0000
H2 0.1677 0.5000 0.4139
H3 0.3323 0.0000 0.5861
H4 0.5000 0.0000 0.0000
H5 0.6677 0.0000 0.4139
H6 0.8323 0.5000 0.5861

***

Entry 3:
Starting from a structure optimized by DFT (GGA-PBE), the X-ray powder pattern of Sm4CdIr2 was computed for Cu Kα (weighted mean of Kα1 and Kα2).
Lines closer than 0.1° are merged.

Peak list (10 most intense, 2θ = 15–90°, in order of rising 2θ)
| d (Å) | I/Imax |
| --- | --- |
| 2.865 | 100.0 |
| 2.815 | 42.6 |
| 2.420 | 37.0 |
| 2.409 | 23.3 |
| 2.392 | 20.5 |
| 1.917 | 15.3 |
| 1.777 | 11.0 |
| 1.756 | 17.3 |
| 1.470 | 10.6 |
| 1.468 | 10.5 |

a b c (Å): 7.8009 7.8009 7.8009
angles (deg): 108.92 108.92 110.58
Fractional coordinates of all 14 atoms:
Sm1 0.0073 0.4012 0.2540
Sm2 0.1472 0.7533 0.7460
Sm3 0.1512 0.2573 0.7540
Sm4 0.2467 0.9927 0.3939
Sm5 0.5033 0.3972 0.2460
Sm6 0.5988 0.8528 0.6061
Sm7 0.6028 0.8488 0.1061
Sm8 0.7427 0.4967 0.8939
Cd1 0.0000 0.0000 0.0000
Cd2 0.7500 0.2500 0.5000
Ir1 0.2440 0.6250 0.1190
Ir2 0.3750 0.4940 0.6190
Ir3 0.5060 0.1250 0.8810
Ir4 0.8750 0.7560 0.3810

***

Entry 4:
Starting from a structure optimized by DFT (GGA-PBE), the X-ray powder pattern of Na4AgBr6 was computed for Cu Kα (weighted mean of Kα1 and Kα2).
Lines closer than 0.1° are merged.

Peak list (10 most intense, 2θ = 15–90°, in order of rising 2θ)
| d (Å) | I/Imax |
| --- | --- |
| 5.346 | 56.7 |
| 4.067 | 42.1 |
| 3.681 | 64.3 |
| 3.552 | 66.8 |
| 3.454 | 43.2 |
| 3.250 | 49.9 |
| 2.941 | 54.1 |
| 2.918 | 100.0 |
| 2.470 | 40.7 |
| 2.204 | 49.3 |

a b c (Å): 7.3874 7.3874 14.6921
angles (deg): 103.19 103.19 64.79
Fractional coordinates of all 22 atoms:
Na1 0.0102 0.4655 0.8590
Na2 0.1135 0.8865 0.5000
Na3 0.1814 0.5464 0.2025
Na4 0.4655 0.0102 0.3590
Na5 0.4983 0.7916 0.0443
Na6 0.5464 0.1814 0.7025
Na7 0.7916 0.4983 0.5443
Na8 0.8865 0.1135 0.0000
Ag1 0.1609 0.8247 0.7635
Ag2 0.8247 0.1609 0.2635
Br1 0.0593 0.2520 0.4105
Br2 0.1735 0.9446 0.1738
Br3 0.1797 0.5630 0.6086
Br4 0.2520 0.0593 0.9105
Br5 0.3964 0.5096 0.8584
Br6 0.5096 0.3964 0.3584
Br7 0.5117 0.8938 0.5427
Br8 0.5630 0.1797 0.1086
Br9 0.7909 0.8755 0.8254
Br10 0.8755 0.7909 0.3254
Br11 0.8938 0.5117 0.0427
Br12 0.9446 0.1735 0.6738

***

Entry 5:
Starting from a structure optimized by DFT (GGA-PBE), the X-ray powder pattern of Dy2NiC4 was computed for Cu Kα (weighted mean of Kα1 and Kα2).
Lines closer than 0.1° are merged.

Peak list (10 most intense, 2θ = 15–90°, in order of rising 2θ)
| d (Å) | I/Imax |
| --- | --- |
| 3.169 | 100.0 |
| 2.964 | 38.7 |
| 2.864 | 65.5 |
| 2.533 | 22.6 |
| 2.401 | 29.9 |
| 2.328 | 22.2 |
| 2.095 | 27.8 |
| 1.751 | 24.1 |
| 1.628 | 17.7 |
| 1.553 | 30.3 |

a b c (Å): 6.6135 6.6135 6.6135
angles (deg): 111.59 85.73 134.96
Fractional coordinates of all 14 atoms:
Dy1 0.1434 0.1653 0.3087
Dy2 0.3566 0.6653 0.0220
Dy3 0.6434 0.3347 0.9780
Dy4 0.8566 0.8347 0.6913
Ni1 0.2500 0.7500 0.5000
Ni2 0.7500 0.2500 0.5000
C1 0.0847 0.6733 0.7580
C2 0.1265 0.8457 0.9722
C3 0.3735 0.3457 0.7193
C4 0.4153 0.1733 0.5887
C5 0.5847 0.8267 0.4113
C6 0.6265 0.6543 0.2807
C7 0.8735 0.1543 0.0278
C8 0.9153 0.3267 0.2420

***

Entry 6:
Starting from a structure optimized by DFT (GGA-PBE), the X-ray powder pattern of Li2CeBeO4 was computed for Cu Kα (weighted mean of Kα1 and Kα2).
Lines closer than 0.1° are merged.

Peak list (10 most intense, 2θ = 15–90°, in order of rising 2θ)
| d (Å) | I/Imax |
| --- | --- |
| 3.918 | 100.0 |
| 3.528 | 54.9 |
| 3.163 | 16.5 |
| 2.355 | 50.6 |
| 2.104 | 55.8 |
| 1.959 | 21.2 |
| 1.942 | 22.6 |
| 1.609 | 14.6 |
| 1.533 | 14.8 |
| 1.412 | 18.6 |

a b c (Å): 4.9900 4.9900 6.3255
angles (deg): 90.00 90.00 90.00
Fractional coordinates of all 16 atoms:
Li1 0.0000 0.5000 0.2500
Li2 0.0000 0.5000 0.7500
Li3 0.5000 0.0000 0.2500
Li4 0.5000 0.0000 0.7500
Ce1 0.0000 0.0000 0.0000
Ce2 0.5000 0.5000 0.5000
Be1 0.0000 0.0000 0.5000
Be2 0.5000 0.5000 0.0000
O1 0.2042 0.2042 0.3646
O2 0.2042 0.7958 0.6354
O3 0.2958 0.2958 0.8646
O4 0.2958 0.7042 0.1354
O5 0.7042 0.2958 0.1354
O6 0.7042 0.7042 0.8646
O7 0.7958 0.2042 0.6354
O8 0.7958 0.7958 0.3646

***

Entry 7:
Starting from a structure optimized by DFT (GGA-PBE), the X-ray powder pattern of Y4Mg25 was computed for Cu Kα (weighted mean of Kα1 and Kα2).
Lines closer than 0.1° are merged.

Peak list (10 most intense, 2θ = 15–90°, in order of rising 2θ)
| d (Å) | I/Imax |
| --- | --- |
| 4.576 | 25.3 |
| 3.986 | 11.6 |
| 2.996 | 26.9 |
| 2.657 | 69.5 |
| 2.644 | 100.0 |
| 2.638 | 35.0 |
| 2.390 | 21.3 |
| 1.817 | 10.9 |
| 1.530 | 13.9 |
| 1.526 | 19.4 |

a b c (Å): 9.7040 9.7040 9.7040
angles (deg): 109.27 109.27 109.27
Fractional coordinates of all 29 atoms:
Y1 0.0000 0.0000 0.0000
Y2 0.0012 0.0012 0.6252
Y3 0.0012 0.6252 0.0012
Y4 0.6252 0.0012 0.0012
Mg1 0.1845 0.8088 0.8088
Mg2 0.1877 0.3689 0.9978
Mg3 0.1877 0.9978 0.3689
Mg4 0.2940 0.6063 0.6063
Mg5 0.3225 0.3225 0.7110
Mg6 0.3225 0.7110 0.3225
Mg7 0.3552 0.3552 0.3552
Mg8 0.3689 0.1877 0.9978
Mg9 0.3689 0.9978 0.1877
Mg10 0.3909 0.6723 0.9985
Mg11 0.3909 0.9985 0.6723
Mg12 0.6063 0.2940 0.6063
Mg13 0.6063 0.6063 0.2940
Mg14 0.6322 0.6322 0.8247
Mg15 0.6322 0.8247 0.6322
Mg16 0.6723 0.3909 0.9985
Mg17 0.6723 0.9985 0.3909
Mg18 0.7110 0.3225 0.3225
Mg19 0.8088 0.1845 0.8088
Mg20 0.8088 0.8088 0.1845
Mg21 0.8247 0.6322 0.6322
Mg22 0.9978 0.1877 0.3689
Mg23 0.9978 0.3689 0.1877
Mg24 0.9985 0.3909 0.6723
Mg25 0.9985 0.6723 0.3909

***

Entry 8:
Starting from a structure optimized by DFT (GGA-PBE), the X-ray powder pattern of Sr2NiH6Au was computed for Cu Kα (weighted mean of Kα1 and Kα2).
Lines closer than 0.1° are merged.

Peak list (10 most intense, 2θ = 15–90°, in order of rising 2θ)
| d (Å) | I/Imax |
| --- | --- |
| 4.444 | 55.8 |
| 2.742 | 100.0 |
| 2.725 | 98.3 |
| 2.697 | 95.6 |
| 1.959 | 19.5 |
| 1.919 | 18.2 |
| 1.896 | 17.6 |
| 1.585 | 37.9 |
| 1.569 | 36.7 |
| 1.559 | 35.9 |

a b c (Å): 5.4849 5.4525 5.3951
angles (deg): 60.74 60.15 59.11
Fractional coordinates of all 10 atoms:
Sr1 0.2500 0.2500 0.2500
Sr2 0.7500 0.7500 0.7500
Ni1 0.0000 0.0000 0.0000
H1 0.2111 0.2111 0.7889
H2 0.2152 0.7848 0.2152
H3 0.2190 0.7810 0.7810
H4 0.7810 0.2190 0.2190
H5 0.7848 0.2152 0.7848
H6 0.7889 0.7889 0.2111
Au1 0.5000 0.5000 0.5000

***

Entry 9:
Starting from a structure optimized by DFT (GGA-PBE), the X-ray powder pattern of Pm6Nd7Y16 was computed for Cu Kα (weighted mean of Kα1 and Kα2).
Lines closer than 0.1° are merged.

Peak list (10 most intense, 2θ = 15–90°, in order of rising 2θ)
| d (Å) | I/Imax |
| --- | --- |
| 5.603 | 6.7 |
| 3.235 | 10.0 |
| 3.050 | 26.8 |
| 2.801 | 100.0 |
| 2.063 | 10.9 |
| 1.981 | 13.5 |
| 1.661 | 7.4 |
| 1.617 | 22.8 |
| 1.532 | 15.4 |
| 1.401 | 5.7 |

a b c (Å): 11.2052 11.2052 11.2052
angles (deg): 60.00 60.00 60.00
Fractional coordinates of all 29 atoms:
Pm1 0.2236 0.2236 0.7764
Pm2 0.2236 0.7764 0.2236
Pm3 0.2236 0.7764 0.7764
Pm4 0.7764 0.2236 0.2236
Pm5 0.7764 0.2236 0.7764
Pm6 0.7764 0.7764 0.2236
Nd1 0.0000 0.0000 0.0000
Nd2 0.0000 0.0000 0.5000
Nd3 0.0000 0.5000 0.0000
Nd4 0.0000 0.5000 0.5000
Nd5 0.5000 0.0000 0.0000
Nd6 0.5000 0.0000 0.5000
Nd7 0.5000 0.5000 0.0000
Y1 0.1499 0.1499 0.1499
Y2 0.1499 0.1499 0.5503
Y3 0.1499 0.5503 0.1499
Y4 0.1590 0.6137 0.6137
Y5 0.3863 0.3863 0.3863
Y6 0.3863 0.3863 0.8410
Y7 0.3863 0.8410 0.3863
Y8 0.4497 0.8501 0.8501
Y9 0.5503 0.1499 0.1499
Y10 0.6137 0.1590 0.6137
Y11 0.6137 0.6137 0.1590
Y12 0.6137 0.6137 0.6137
Y13 0.8410 0.3863 0.3863
Y14 0.8501 0.4497 0.8501
Y15 0.8501 0.8501 0.4497
Y16 0.8501 0.8501 0.8501

***

Entry 10:
Starting from a structure optimized by DFT (GGA-PBE), the X-ray powder pattern of La3ZnN was computed for Cu Kα (weighted mean of Kα1 and Kα2).
Lines closer than 0.1° are merged.

Peak list (10 most intense, 2θ = 15–90°, in order of rising 2θ)
| d (Å) | I/Imax |
| --- | --- |
| 3.155 | 19.3 |
| 2.920 | 100.0 |
| 2.698 | 25.4 |
| 2.603 | 27.0 |
| 2.494 | 29.3 |
| 2.008 | 10.8 |
| 1.801 | 21.7 |
| 1.625 | 13.3 |
| 1.557 | 15.2 |
| 1.510 | 9.6 |

a b c (Å): 7.0541 7.0541 5.2061
angles (deg): 90.00 90.00 90.00
Fractional coordinates of all 10 atoms:
La1 0.0000 0.0000 0.0000
La2 0.1961 0.3039 0.5000
La3 0.3039 0.8039 0.5000
La4 0.5000 0.5000 0.0000
La5 0.6961 0.1961 0.5000
La6 0.8039 0.6961 0.5000
Zn1 0.0000 0.5000 0.0000
Zn2 0.5000 0.0000 0.0000
N1 0.0000 0.0000 0.5000
N2 0.5000 0.5000 0.5000

***

Entry 11:
Starting from a structure optimized by DFT (GGA-PBE), the X-ray powder pattern of LiSc5Pb6 was computed for Cu Kα (weighted mean of Kα1 and Kα2).
Lines closer than 0.1° are merged.

Peak list (10 most intense, 2θ = 15–90°, in order of rising 2θ)
| d (Å) | I/Imax |
| --- | --- |
| 4.261 | 37.3 |
| 3.382 | 43.5 |
| 2.649 | 100.0 |
| 2.444 | 19.9 |
| 2.342 | 17.8 |
| 2.131 | 13.4 |
| 2.120 | 12.9 |
| 2.053 | 11.7 |
| 1.803 | 15.9 |
| 1.404 | 14.2 |

a b c (Å): 8.7927 8.7927 4.6849
angles (deg): 105.33 105.33 57.98
Fractional coordinates of all 12 atoms:
Li1 0.0000 0.0000 0.0000
Sc1 0.1595 0.1595 0.6592
Sc2 0.3365 0.3365 0.3367
Sc3 0.5000 0.5000 0.0000
Sc4 0.6635 0.6635 0.6633
Sc5 0.8405 0.8405 0.3408
Pb1 0.0813 0.5848 0.8332
Pb2 0.2457 0.7543 0.5000
Pb3 0.4152 0.9187 0.1668
Pb4 0.5848 0.0813 0.8332
Pb5 0.7543 0.2457 0.5000
Pb6 0.9187 0.4152 0.1668

***

Entry 12:
Starting from a structure optimized by DFT (GGA-PBE), the X-ray powder pattern of K6GaAu4 was computed for Cu Kα (weighted mean of Kα1 and Kα2).
Lines closer than 0.1° are merged.

Peak list (10 most intense, 2θ = 15–90°, in order of rising 2θ)
| d (Å) | I/Imax |
| --- | --- |
| 4.622 | 61.7 |
| 4.307 | 91.3 |
| 4.047 | 46.0 |
| 3.707 | 59.4 |
| 3.196 | 28.2 |
| 3.045 | 100.0 |
| 2.604 | 37.0 |
| 2.522 | 50.5 |
| 2.453 | 32.8 |
| 2.225 | 27.2 |

a b c (Å): 10.6818 10.6818 10.6818
angles (deg): 155.96 60.14 125.78
Fractional coordinates of all 11 atoms:
K1 0.0942 0.0000 0.0942
K2 0.2237 0.8550 0.3687
K3 0.4863 0.8550 0.6313
K4 0.5308 0.2083 0.3225
K5 0.8859 0.2083 0.6775
K6 0.9058 0.0000 0.9058
Ga1 0.6123 0.6123 0.0000
Au1 0.2599 0.5284 0.7315
Au2 0.3371 0.3371 0.0000
Au3 0.7473 0.2473 0.5000
Au4 0.7969 0.5284 0.2685